CdIn2Pd8: theoretical X-ray diffraction stick pattern (Cu Kα (weighted mean of Kα1 and Kα2)), based on a DFT-relaxed cell (GGA-PBE, Alexandria).
Peak positions follow from Bragg's law for the DFT cell and can differ from measured ones.

```
CdIn2Pd8
1.0
7.1716 -2.0714 0.0000
7.1716 2.0714 0.0000
-1.8943 0.0000 6.1450
Cd In Pd
1 2 8
direct
0.0000 0.0000 0.0000
0.2790 0.2790 0.3417
0.7210 0.7210 0.6583
0.0945 0.0945 0.4595
0.1777 0.1777 0.9119
0.3575 0.3575 0.8057
0.4603 0.4603 0.2759
0.5397 0.5397 0.7241
0.6425 0.6425 0.1943
0.8223 0.8223 0.0881
0.9055 0.9055 0.5405
```

The 8 most intense peaks (10 to 80 degrees two-theta), sorted by position:
two_theta  d [Å]  I_rel
38.5  2.336  100
43.7  2.071  18
44.3  2.043  16
46.3  1.961  15
64.0  1.455  10
65.6  1.424  10
76.8  1.241  13
77.8  1.228  5